For Th2Ga12Pt, a structure optimized by DFT (PBE) gives the theoretical powder diffraction line list in this record (copper Kα).
Neutral-atom scattering factors, no anomalous dispersion.

Top 10 peaks for 10 to 90 degrees two-theta, low angle first:
2θ (°)	I_rel	h k l
20.33	43	1 1 0
28.92	29	2 0 0
30.96	100	1 1 4
31.20	74	2 0 2
37.32	62	2 0 4
40.76	27	1 1 6
41.36	98	2 2 0
51.89	23	1 1 8
52.53	52	3 1 4
68.41	31	3 1 8

Atomic structure:
Unit cell a=6.176 b=6.176 c=15.406 alpha=90.00 beta=90.00 gamma=90.00
Space group P4/nbm (No. 125, origin choice 2)
Symmetry-distinct sites (fractional):
Th 0.250 0.750 0.246 x4
Ga 0.001 0.501 0.090 x8
Ga 0.080 0.580 0.571 x8
Ga 0.250 0.250 0.185 x4
Ga 0.250 0.250 0.344 x4
Pt 0.250 0.750 0.000 x2

For ThGaPt6, a structure optimized by DFT (PBE) gives the theoretical powder diffraction line list in this record (copper Kα).
Neutral-atom scattering factors, no anomalous dispersion.

Top 10 peaks for 10 to 90 degrees two-theta, low angle first:
2θ (°)	I_rel	h k l
24.11	3	1 0 1
32.41	4	1 1 1
38.00	100	1 1 2
43.46	35	2 0 0
45.53	14	0 0 4
63.15	12	2 2 0
64.76	20	2 0 4
76.13	27	3 1 2
79.10	10	1 1 6
81.25	11	2 2 4

Atomic structure:
Unit cell a=4.165 b=4.165 c=7.969 alpha=90.00 beta=90.00 gamma=90.00
Space group P4/mmm (No. 123)
Symmetry-distinct sites (fractional):
Th 0.000 0.000 0.000 x1
Ga 0.000 0.000 0.500 x1
Pt 0.000 0.500 0.269 x4
Pt 0.500 0.500 0.000 x1
Pt 0.500 0.500 0.500 x1